(1)
Structure and calculated PXRD pattern of CsErMnO3 (a structure optimized by DFT (GGA+U); Cu Kα (λ = 1.5418 Å)).
No peak broadening, texture or thermal motion is included.

Crystal structure
```
12
Lattice="7.3505 0.0000 0.0000 0.0000 3.5566 0.0000 -1.4238 0.0000 9.3804" Properties=species:S:1:pos:R:3 pbc="T T T"
Cs 0.1788 0.8891 2.4888
Cs 5.7479 2.6674 6.8916
Er 2.2846 2.6674 5.9623
Er 3.6421 0.8891 3.4180
Mn 1.6016 0.8891 8.4401
Mn 4.3251 2.6674 0.9403
O 0.9082 0.8891 6.5600
O 2.2286 2.6674 3.7815
O 3.1267 0.8891 1.1061
O 2.8000 2.6674 8.2743
O 3.6981 0.8891 5.5988
O 5.0185 2.6674 2.8204
```

Top 8 peaks for 5° ≤ 2θ ≤ 70°, by angle:
index	two_theta	d [Å]	I (rel.)
0 0 1	9.4	9.380	66
1 0 0	12.2	7.267	76
2 0 0	24.5	3.634	47
0 1 1	26.8	3.326	81
2 0 1	27.6	3.229	65
0 1 2	31.6	2.834	50
2 1 -1	35.6	2.521	100
1 0 4	42.2	2.141	73

(2)
Structure and calculated PXRD pattern of CsErMo2O8 (a structure optimized by DFT (GGA+U); Cu Kα (λ = 1.5418 Å)).
No peak broadening, texture or thermal motion is included.

Crystal structure
```
12
Lattice="6.0570 0.0000 0.0000 -3.0285 5.2455 0.0000 0.0000 0.0000 8.3880" Properties=species:S:1:pos:R:3 pbc="T T T"
Cs 0.0000 0.0000 0.0000
Er 0.0000 0.0000 4.1940
Mo 0.0000 3.4970 2.2746
Mo 3.0285 1.7485 6.1134
O 0.0000 1.7792 2.8467
O -1.4877 4.3559 2.8467
O 0.0000 3.4970 0.5231
O 1.5408 0.8896 5.5414
O 1.4877 4.3559 2.8467
O 3.0285 1.7485 7.8650
O 4.5162 0.8896 5.5414
O 3.0285 3.4663 5.5414
```

Top 8 peaks for 5° ≤ 2θ ≤ 70°, by angle:
index	two_theta	d [Å]	I (rel.)
1 0 0	16.9	5.246	41
1 0 1	20.0	4.447	71
1 0 2	27.2	3.276	100
1 1 0	29.5	3.028	70
2 0 2	40.6	2.224	39
2 1 2	50.9	1.792	35
1 1 4	53.1	1.724	25
1 3 2	68.2	1.374	15